# 1
# PrV2ZnO6
Simulated PXRD pattern, λ = 1.5418 Å (Cu Kα). Input: a cell relaxed with GGA+U.
Kinematic intensities with the Lorentz-polarization factor, no thermal factor.

Most intense lines, 2θ from 10° to 80°, most intense first:
| d [Å] | I (rel.) |
| --- | --- |
| 2.731 | 100 |
| 1.935 | 24 |
| 1.562 | 24 |
| 2.692 | 23 |
| 2.784 | 21 |
| 1.927 | 15 |

Cell and atoms:
```
PrV2ZnO6
1.0
5.3843 0.0000 0.0000
0.0000 5.5687 0.0000
-5.3744 0.0000 7.7085
Pr V Zn O
2 4 2 12
Direct
0.0000 0.1958 0.0000
0.0000 0.8042 0.5000
0.2637 0.2659 0.7523
0.2637 0.7341 0.2523
0.7639 0.2737 0.2503
0.7639 0.7263 0.7503
0.5088 0.2131 0.4998
0.5088 0.7869 0.9998
0.0030 0.4583 0.1987
0.0030 0.5417 0.6987
0.1410 0.2275 0.4998
0.1410 0.7725 0.9998
0.4286 0.2697 0.0022
0.4286 0.7303 0.5022
0.5115 0.0524 0.3068
0.5115 0.9476 0.8068
0.6142 0.4757 0.7998
0.6142 0.5243 0.2998
0.8899 0.0455 0.6968
0.8899 0.9545 0.1968
```

***

# 2
# LiMnSiO4
Simulated PXRD pattern, λ = 1.5418 Å (Cu Kα). Input: a cell relaxed with GGA+U.
Kinematic intensities with the Lorentz-polarization factor, no thermal factor.

Most intense lines, 2θ from 10° to 80°, most intense first:
| d [Å] | I (rel.) |
| --- | --- |
| 5.664 | 100 |
| 4.139 | 81 |
| 3.794 | 60 |
| 2.555 | 52 |
| 2.373 | 36 |
| 2.477 | 28 |

Cell and atoms:
```
LiMnSiO4
1.0
9.4903 0.0000 0.0000
0.0000 7.0583 0.0000
0.0000 0.0000 5.1099
Li Mn Si O
4 4 4 16
Direct
0.1824 0.0307 0.0000
0.3176 0.5307 0.5000
0.6824 0.4693 0.0000
0.8176 0.9693 0.5000
0.1176 0.5244 0.9385
0.3824 0.0244 0.4385
0.6176 0.9756 0.9385
0.8824 0.4756 0.4385
0.0912 0.2391 0.5145
0.4088 0.7391 0.0145
0.5912 0.2609 0.5145
0.9088 0.7609 0.0145
0.0796 0.7925 0.9722
0.0985 0.4584 0.3825
0.1320 0.2652 0.8242
0.1855 0.0743 0.3812
0.3145 0.5743 0.8812
0.3680 0.7652 0.3242
0.4015 0.9584 0.8825
0.4204 0.2925 0.4722
0.5796 0.7075 0.9722
0.5985 0.0416 0.3825
0.6320 0.2348 0.8242
0.6855 0.4257 0.3812
0.8145 0.9257 0.8812
0.8680 0.7348 0.3242
0.9015 0.5416 0.8825
0.9204 0.2075 0.4722
```